# 1
Starting from DFT lattice parameters and positions (PBE), the X-ray diffraction stick pattern of Tc6NiC was calculated for Cu Kα.

Crystal structure
a = 5.3199 Å, b = 5.3333 Å, c = 5.4151 Å
α = 90.53°, β = 118.96°, γ = 119.30°
Atoms (fractional coordinates):
Tc: 0.0463 0.0626 0.2516
Tc: 0.2615 0.7022 0.2477
Tc: 0.3088 0.5118 0.7529
Tc: 0.6912 0.4882 0.2471
Tc: 0.7385 0.2978 0.7523
Tc: 0.9537 0.9374 0.7484
Ni: 0.5000 0.0000 0.0000
C: 0.5000 0.5000 0.5000

Main lines, low angle first (2θ from 10° to 90°):
2theta  I/Imax
38.86  30
39.19  88
39.33  100
39.61  28
40.22  47
41.38  20

# 2
Starting from DFT lattice parameters and positions (PBE), the X-ray diffraction stick pattern of Th4Ni13C4 was calculated for Cu Kα.

Crystal structure
a = 8.5268 Å, b = 8.5268 Å, c = 3.9476 Å
α = 90.00°, β = 90.00°, γ = 91.21°
Atoms (fractional coordinates):
Th: 0.1864 0.8136 0.0000
Th: 0.3437 0.3437 0.0000
Th: 0.6563 0.6563 0.0000
Th: 0.8136 0.1864 0.0000
Ni: 0.0000 0.0000 0.5000
Ni: 0.0000 0.5000 0.0000
Ni: 0.0720 0.2921 0.5000
Ni: 0.1215 0.1215 0.0000
Ni: 0.2150 0.5669 0.5000
Ni: 0.2921 0.0720 0.5000
Ni: 0.4331 0.7850 0.5000
Ni: 0.5000 0.0000 0.0000
Ni: 0.5669 0.2150 0.5000
Ni: 0.7079 0.9280 0.5000
Ni: 0.7850 0.4331 0.5000
Ni: 0.8785 0.8785 0.0000
Ni: 0.9280 0.7079 0.5000
C: 0.0000 0.5000 0.5000
C: 0.4430 0.5570 0.5000
C: 0.5000 0.0000 0.5000
C: 0.5570 0.4430 0.5000

Main lines, low angle first (2θ from 10° to 90°):
2theta  I/Imax
32.51  93
32.80  58
37.28  46
40.70  100
43.55  47
45.98  47

# 3
Starting from DFT lattice parameters and positions (PBE), the X-ray diffraction stick pattern of Ti8NiC4 was calculated for Cu Kα.

Crystal structure
a = 7.5516 Å, b = 7.5516 Å, c = 10.4477 Å
α = 133.75°, β = 133.75°, γ = 23.76°
Atoms (fractional coordinates):
Ti: 0.0441 0.0441 0.2046
Ti: 0.3185 0.3185 0.4620
Ti: 0.3399 0.3399 0.8841
Ti: 0.3564 0.3564 0.1752
Ti: 0.6436 0.6436 0.8248
Ti: 0.6601 0.6601 0.1159
Ti: 0.6815 0.6815 0.5380
Ti: 0.9559 0.9559 0.7954
Ni: 0.0000 0.0000 0.5000
C: 0.1542 0.1542 0.9754
C: 0.3214 0.3214 0.6670
C: 0.6786 0.6786 0.3330
C: 0.8458 0.8458 0.0246

Main lines, low angle first (2θ from 10° to 90°):
2theta  I/Imax
36.47  38
38.52  20
38.82  100
52.53  12
64.47  18
67.20  13

# 4
Starting from DFT lattice parameters and positions (PBE), the X-ray diffraction stick pattern of TlNi2C was calculated for Cu Kα.

Crystal structure
a = 6.5225 Å, b = 6.5225 Å, c = 6.5225 Å
α = 137.51°, β = 137.51°, γ = 61.66°
Atoms (fractional coordinates):
Tl: 0.0000 0.0000 0.0000
Tl: 0.7500 0.2500 0.5000
Ni: 0.3275 0.6250 0.2025
Ni: 0.3750 0.5775 0.7025
Ni: 0.4225 0.1250 0.7975
Ni: 0.8750 0.6725 0.2975
C: 0.2500 0.7500 0.5000
C: 0.5000 0.5000 0.0000

Main lines, low angle first (2θ from 10° to 90°):
2theta  I/Imax
20.39  28
30.51  89
31.16  100
43.57  70
44.77  31
50.53  28

# 5
Starting from DFT lattice parameters and positions (PBE), the X-ray diffraction stick pattern of TmNi7C2 was calculated for Cu Kα.

Crystal structure
a = 5.9353 Å, b = 5.9353 Å, c = 3.8403 Å
α = 90.00°, β = 90.00°, γ = 117.55°
Atoms (fractional coordinates):
Tm: 0.0000 0.0000 0.0000
Ni: 0.0531 0.3380 0.5000
Ni: 0.2814 0.7186 0.0000
Ni: 0.3380 0.0531 0.5000
Ni: 0.5000 0.5000 0.5000
Ni: 0.6620 0.9469 0.5000
Ni: 0.7186 0.2814 0.0000
Ni: 0.9469 0.6620 0.5000
C: 0.3081 0.6919 0.5000
C: 0.6919 0.3081 0.5000

Main lines, low angle first (2θ from 10° to 90°):
2theta  I/Imax
16.85  42
28.78  41
37.45  68
38.35  100
42.71  50
46.38  55

# 6
Starting from DFT lattice parameters and positions (PBE), the X-ray diffraction stick pattern of Tm4Ni13C4 was calculated for Cu Kα.

Crystal structure
a = 8.3461 Å, b = 8.3461 Å, c = 3.8261 Å
α = 90.00°, β = 90.00°, γ = 91.33°
Atoms (fractional coordinates):
Tm: 0.1871 0.8129 0.0000
Tm: 0.3483 0.3483 0.0000
Tm: 0.6517 0.6517 0.0000
Tm: 0.8129 0.1871 0.0000
Ni: 0.0000 0.0000 0.5000
Ni: 0.0000 0.5000 0.0000
Ni: 0.0749 0.2912 0.5000
Ni: 0.1231 0.1231 0.0000
Ni: 0.2157 0.5699 0.5000
Ni: 0.2912 0.0749 0.5000
Ni: 0.4301 0.7843 0.5000
Ni: 0.5000 0.0000 0.0000
Ni: 0.5699 0.2157 0.5000
Ni: 0.7088 0.9251 0.5000
Ni: 0.7843 0.4301 0.5000
Ni: 0.8769 0.8769 0.0000
Ni: 0.9251 0.7088 0.5000
C: 0.0000 0.5000 0.5000
C: 0.4430 0.5570 0.5000
C: 0.5000 0.0000 0.5000
C: 0.5570 0.4430 0.5000

Main lines, low angle first (2θ from 10° to 90°):
2theta  I/Imax
33.38  78
33.71  42
38.24  46
41.78  100
44.53  40
47.53  45

# 7
Starting from DFT lattice parameters and positions (PBE), the X-ray diffraction stick pattern of Tm2Ni6C was calculated for Cu Kα.

Crystal structure
a = 5.4494 Å, b = 5.4494 Å, c = 4.6019 Å
α = 90.00°, β = 90.00°, γ = 120.00°
Atoms (fractional coordinates):
Tm: 0.3333 0.6667 0.2339
Tm: 0.6667 0.3333 0.7661
Ni: 0.1581 0.3161 0.7383
Ni: 0.1581 0.8419 0.7383
Ni: 0.3161 0.1581 0.2617
Ni: 0.6839 0.8419 0.7383
Ni: 0.8419 0.1581 0.2617
Ni: 0.8419 0.6839 0.2617
C: 0.0000 0.0000 0.0000

Main lines, low angle first (2θ from 10° to 90°):
2theta  I/Imax
27.06  32
38.14  22
39.15  28
43.08  100
73.66  18
82.24  18

# 8
Starting from DFT lattice parameters and positions (PBE), the X-ray diffraction stick pattern of U6NiC5 was calculated for Cu Kα.

Crystal structure
a = 6.3256 Å, b = 6.3256 Å, c = 10.8960 Å
α = 90.00°, β = 90.00°, γ = 120.00°
Atoms (fractional coordinates):
U: 0.0000 0.3580 0.1186
U: 0.0000 0.3580 0.3814
U: 0.0000 0.6420 0.6186
U: 0.0000 0.6420 0.8814
U: 0.3580 0.0000 0.1186
U: 0.3580 0.0000 0.3814
U: 0.3580 0.3580 0.6186
U: 0.3580 0.3580 0.8814
U: 0.6420 0.0000 0.6186
U: 0.6420 0.0000 0.8814
U: 0.6420 0.6420 0.1186
U: 0.6420 0.6420 0.3814
Ni: 0.0000 0.0000 0.2500
Ni: 0.0000 0.0000 0.7500
C: 0.0000 0.3253 0.7500
C: 0.0000 0.6747 0.2500
C: 0.3253 0.0000 0.7500
C: 0.3253 0.3253 0.2500
C: 0.3333 0.6667 0.0000
C: 0.3333 0.6667 0.5000
C: 0.6667 0.3333 0.0000
C: 0.6667 0.3333 0.5000
C: 0.6747 0.0000 0.2500
C: 0.6747 0.6747 0.7500

Main lines, low angle first (2θ from 10° to 90°):
2theta  I/Imax
28.22  35
29.41  100
32.88  33
37.71  81
43.86  32
49.94  40

# 9
Starting from DFT lattice parameters and positions (PBE), the X-ray diffraction stick pattern of V3Ni2C was calculated for Cu Kα.

Crystal structure
a = 6.4551 Å, b = 6.4551 Å, c = 6.4551 Å
α = 90.00°, β = 90.00°, γ = 90.00°
Atoms (fractional coordinates):
V: 0.0496 0.1250 0.7996
V: 0.1250 0.7996 0.0496
V: 0.2004 0.5496 0.3750
V: 0.2996 0.4504 0.8750
V: 0.3750 0.2004 0.5496
V: 0.4504 0.8750 0.2996
V: 0.5496 0.3750 0.2004
V: 0.6250 0.7004 0.9504
V: 0.7004 0.9504 0.6250
V: 0.7996 0.0496 0.1250
V: 0.8750 0.2996 0.4504
V: 0.9504 0.6250 0.7004
Ni: 0.0676 0.9324 0.4324
Ni: 0.1824 0.1824 0.1824
Ni: 0.3176 0.8176 0.6824
Ni: 0.4324 0.0676 0.9324
Ni: 0.5676 0.5676 0.5676
Ni: 0.6824 0.3176 0.8176
Ni: 0.8176 0.6824 0.3176
Ni: 0.9324 0.4324 0.0676
C: 0.1250 0.3750 0.6250
C: 0.3750 0.6250 0.1250
C: 0.6250 0.1250 0.3750
C: 0.8750 0.8750 0.8750

Main lines, low angle first (2θ from 10° to 90°):
2theta  I/Imax
41.99  100
44.38  55
46.67  27
53.08  15
75.03  25
80.05  21

# 10
Starting from DFT lattice parameters and positions (PBE), the X-ray diffraction stick pattern of Yb4Ni3C5 was calculated for Cu Kα.

Crystal structure
a = 3.7254 Å, b = 5.8047 Å, c = 9.1844 Å
α = 76.73°, β = 78.31°, γ = 71.39°
Atoms (fractional coordinates):
Yb: 0.0979 0.2006 0.1045
Yb: 0.2549 0.3271 0.6614
Yb: 0.7451 0.6729 0.3386
Yb: 0.9021 0.7994 0.8955
Ni: 0.0000 0.0000 0.5000
Ni: 0.4574 0.2512 0.3359
Ni: 0.5426 0.7488 0.6641
C: 0.3254 0.7411 0.1079
C: 0.3973 0.5196 0.1871
C: 0.5000 0.0000 0.5000
C: 0.6027 0.4804 0.8129
C: 0.6746 0.2589 0.8921

Main lines, low angle first (2θ from 10° to 90°):
2theta  I/Imax
26.08  50
28.22  73
31.86  35
34.32  97
34.88  100
40.42  35

# 11
Starting from DFT lattice parameters and positions (PBE), the X-ray diffraction stick pattern of Yb4Ni13C4 was calculated for Cu Kα.

Crystal structure
a = 8.3759 Å, b = 8.3759 Å, c = 3.8763 Å
α = 90.00°, β = 90.00°, γ = 90.80°
Atoms (fractional coordinates):
Yb: 0.1919 0.8081 0.0000
Yb: 0.3518 0.3518 0.0000
Yb: 0.6482 0.6482 0.0000
Yb: 0.8081 0.1919 0.0000
Ni: 0.0000 0.0000 0.5000
Ni: 0.0000 0.5000 0.0000
Ni: 0.0730 0.2898 0.5000
Ni: 0.1220 0.1220 0.0000
Ni: 0.2149 0.5694 0.5000
Ni: 0.2898 0.0730 0.5000
Ni: 0.4306 0.7851 0.5000
Ni: 0.5000 0.0000 0.0000
Ni: 0.5694 0.2149 0.5000
Ni: 0.7102 0.9270 0.5000
Ni: 0.7851 0.4306 0.5000
Ni: 0.8780 0.8780 0.0000
Ni: 0.9270 0.7102 0.5000
C: 0.0000 0.5000 0.5000
C: 0.4432 0.5568 0.5000
C: 0.5000 0.0000 0.5000
C: 0.5568 0.4432 0.5000

Main lines, low angle first (2θ from 10° to 90°):
2theta  I/Imax
33.16  71
33.36  38
38.07  47
41.41  100
44.46  38
46.88  43

# 12
Starting from DFT lattice parameters and positions (PBE), the X-ray diffraction stick pattern of Zn2Ni6C was calculated for Cu Kα.

Crystal structure
a = 3.7430 Å, b = 3.7430 Å, c = 7.0373 Å
α = 90.00°, β = 90.00°, γ = 90.00°
Atoms (fractional coordinates):
Zn: 0.0000 0.0000 0.2380
Zn: 0.0000 0.0000 0.7620
Ni: 0.0000 0.5000 0.0000
Ni: 0.0000 0.5000 0.5000
Ni: 0.5000 0.0000 0.0000
Ni: 0.5000 0.0000 0.5000
Ni: 0.5000 0.5000 0.2360
Ni: 0.5000 0.5000 0.7640
C: 0.5000 0.5000 0.5000

Main lines, low angle first (2θ from 10° to 90°):
2theta  I/Imax
42.75  100
48.65  37
51.98  14
71.26  11
73.94  18
86.82  23